For LiVF4, a crystal structure in the Materials Project, relaxed with PBE+U gives the calculated powder X-ray diffraction pattern in this record (Cu Ka).

```
LiVF4
1.0
5.2913 -1.5639 0.0000
5.2913 1.5639 0.0000
-4.7107 0.0000 9.1951
Li V F
2 2 8
Direct
0.2405 0.7595 0.7500 Li
0.7595 0.2405 0.2500 Li
0.0000 0.5000 0.0000 V
0.5000 0.0000 0.5000 V
0.0091 0.5175 0.6301 F
0.2107 0.6966 0.1068 F
0.3034 0.7893 0.3932 F
0.4825 0.9909 0.8699 F
0.5175 0.0091 0.1301 F
0.6966 0.2107 0.6068 F
0.7893 0.3034 0.8932 F
0.9909 0.4825 0.3699 F
```

Top 10 peaks for 2θ from 15° to 90°, by angle:
d/Å	2θ (°)	I/Imax
4.709	18.84	546
4.598	19.31	525
4.460	19.91	1000
2.952	30.28	286
2.355	38.22	366
2.304	39.09	741
2.155	41.92	160
1.749	52.30	136
1.711	53.55	294
1.571	58.77	281

For FeOF, a crystal structure in the Materials Project, relaxed with PBE+U gives the calculated powder X-ray diffraction pattern in this record (Cu Ka).

```
FeOF
1.0
14.1979 0.0000 0.0000
0.0000 3.1002 0.0000
-0.0519 0.0000 14.2349
Fe O F
18 18 18
Direct
0.0000 0.0000 0.0000 Fe
0.0007 0.0000 0.3333 Fe
0.0123 0.0000 0.6614 Fe
0.1732 0.5000 0.8133 Fe
0.1923 0.5000 0.1682 Fe
0.2006 0.5000 0.4911 Fe
0.3319 0.0000 0.6645 Fe
0.3377 0.0000 0.0047 Fe
0.3430 0.0000 0.3244 Fe
0.5127 0.5000 0.1831 Fe
0.5251 0.5000 0.4986 Fe
0.5259 0.5000 0.8323 Fe
0.6656 0.0000 0.3323 Fe
0.6656 0.0000 0.6658 Fe
0.6782 0.0000 0.9874 Fe
0.8457 0.5000 0.8469 Fe
0.8583 0.5000 0.1670 Fe
0.8598 0.5000 0.5009 Fe
0.1068 0.0000 0.7605 O
0.2410 0.0000 0.2263 O
0.2452 0.0000 0.5611 O
0.2800 0.5000 0.0579 O
0.2812 0.5000 0.7315 O
0.2837 0.5000 0.3916 O
0.4102 0.5000 0.2650 O
0.5722 0.0000 0.8993 O
0.5777 0.0000 0.5625 O
0.5809 0.0000 0.2271 O
0.6156 0.5000 0.3958 O
0.6160 0.5000 0.7302 O
0.7422 0.5000 0.9338 O
0.9113 0.0000 0.2285 O
0.9140 0.0000 0.5674 O
0.9140 0.0000 0.8916 O
0.9462 0.5000 0.0606 O
0.9477 0.5000 0.3972 O
0.0766 0.5000 0.2651 F
0.0772 0.5000 0.5956 F
0.0822 0.5000 0.9329 F
0.1122 0.0000 0.0969 F
0.1142 0.0000 0.4288 F
0.2409 0.0000 0.8930 F
0.4062 0.5000 0.9288 F
0.4115 0.5000 0.5999 F
0.4471 0.0000 0.7643 F
0.4485 0.0000 0.0936 F
0.4487 0.0000 0.4362 F
0.6132 0.5000 0.0630 F
0.7464 0.5000 0.5978 F
0.7467 0.5000 0.2662 F
0.7768 0.0000 0.1016 F
0.7827 0.0000 0.4346 F
0.7830 0.0000 0.7625 F
0.9445 0.5000 0.7270 F
```

Top 10 peaks for 2θ from 15° to 90°, by angle:
d/Å	2θ (°)	I/Imax
3.351	26.60	1000
2.594	34.57	552
2.276	39.60	189
1.751	52.23	292
1.748	52.35	287
1.678	54.68	79
1.672	54.90	79
1.550	59.65	98
1.408	66.38	165
1.406	66.49	151